Record 1
# AlMo2W
Computed powder diffractogram, Cu Kα X-rays. Input: a DFT-relaxed cell (PBE, OQMD).
Peak positions follow from Bragg's law for the DFT cell and can differ from measured ones.

Atomic structure:
```
AlMo2W
1.0
4.9603 0.0000 0.0000
0.0000 3.5327 3.5333
0.0000 -3.5327 3.5333
Al Mo W
2 4 2
Direct
0.2500 0.2504 0.7496
0.7500 0.7496 0.2504
0.0000 0.2493 0.2493
0.2500 0.7506 0.5001
0.5000 0.2493 0.2493
0.7500 0.5001 0.7506
0.2500 0.7507 0.9998
0.7500 0.9998 0.7507
```

Peak list (10 most intense, 2θ = 5–70°, most intense first)
| two_theta | d [Å] | I_rel |
| --- | --- | --- |
| 40.4 | 2.233 | 100 |
| 25.3 | 3.523 | 46 |
| 40.6 | 2.222 | 42 |
| 44.5 | 2.037 | 33 |
| 64.8 | 1.439 | 22 |
| 68.0 | 1.379 | 12 |
| 36.2 | 2.480 | 11 |
| 44.6 | 2.030 | 10 |
| 17.8 | 4.996 | 10 |
| 67.6 | 1.386 | 9 |

Record 2
# Nb4Al3W2N3
Computed powder diffractogram, Cu Kα X-rays. Input: a DFT-relaxed cell (PBE, OQMD).
Peak positions follow from Bragg's law for the DFT cell and can differ from measured ones.

Atomic structure:
```
Nb4Al3W2N3
1.0
4.4555 -2.5703 0.0000
4.4555 2.5703 0.0000
-2.9849 0.0000 14.3719
Nb Al W N
8 6 4 6
Direct
0.0322 0.1979 0.0959
0.1341 0.3017 0.4042
0.1979 0.0322 0.5959
0.3017 0.1341 0.9042
0.6983 0.8659 0.0958
0.8021 0.9678 0.4041
0.8659 0.6983 0.5958
0.9678 0.8021 0.9041
0.1042 0.8958 0.2500
0.2710 0.4165 0.7501
0.4165 0.2710 0.2501
0.5835 0.7290 0.7499
0.7290 0.5835 0.2499
0.8958 0.1042 0.7500
0.3635 0.5313 0.0950
0.4687 0.6365 0.4050
0.5313 0.3635 0.5950
0.6365 0.4687 0.9050
0.0000 0.5000 0.0000
0.1737 0.6633 0.5000
0.3367 0.8263 0.0000
0.5000 0.0000 0.5000
0.6633 0.1737 0.0000
0.8263 0.3367 0.5000
```

Peak list (10 most intense, 2θ = 5–70°, most intense first)
| two_theta | d [Å] | I_rel |
| --- | --- | --- |
| 39.8 | 2.266 | 100 |
| 12.3 | 7.186 | 32 |
| 35.5 | 2.531 | 25 |
| 24.8 | 3.593 | 21 |
| 34.9 | 2.571 | 20 |
| 37.5 | 2.395 | 20 |
| 62.6 | 1.485 | 19 |
| 57.4 | 1.604 | 17 |
| 52.2 | 1.753 | 15 |
| 69.3 | 1.357 | 13 |

Record 3
# AlReNO
Computed powder diffractogram, Cu Kα X-rays. Input: a DFT-relaxed cell (PBE, OQMD).
Peak positions follow from Bragg's law for the DFT cell and can differ from measured ones.

Atomic structure:
```
AlReNO
1.0
5.2240 0.0000 0.0000
0.0000 7.5829 0.0000
0.0000 0.0000 4.8628
Al Re N O
4 4 4 4
Direct
0.0708 0.1160 0.0000
0.4292 0.1160 0.5000
0.5708 0.8840 0.0000
0.9292 0.8840 0.5000
0.1165 0.5307 0.9250
0.3835 0.5307 0.4250
0.6165 0.4693 0.9250
0.8835 0.4693 0.4250
0.0914 0.6800 0.5839
0.4086 0.6800 0.0839
0.5914 0.3200 0.5839
0.9086 0.3200 0.0839
0.1257 0.0586 0.6483
0.3743 0.0586 0.1483
0.6257 0.9414 0.6483
0.8743 0.9414 0.1483
```

Peak list (10 most intense, 2θ = 5–70°, most intense first)
| two_theta | d [Å] | I_rel |
| --- | --- | --- |
| 11.7 | 7.583 | 100 |
| 23.5 | 3.791 | 30 |
| 41.0 | 2.202 | 25 |
| 46.1 | 1.967 | 19 |
| 39.1 | 2.301 | 19 |
| 38.9 | 2.315 | 17 |
| 53.9 | 1.702 | 12 |
| 37.0 | 2.431 | 10 |
| 44.3 | 2.047 | 10 |
| 35.5 | 2.528 | 7 |

Record 4
# AlZnNO
Computed powder diffractogram, Cu Kα X-rays. Input: a DFT-relaxed cell (PBE, OQMD).
Peak positions follow from Bragg's law for the DFT cell and can differ from measured ones.

Atomic structure:
```
AlZnNO
1.0
3.1661 0.0000 0.0000
0.0000 5.4575 0.0000
0.0000 0.0000 5.1667
Al Zn N O
2 2 2 2
Direct
0.0000 0.1555 0.0000
0.0000 0.8445 0.5000
0.5000 0.3196 0.4868
0.5000 0.6804 0.9868
0.0000 0.1532 0.3560
0.0000 0.8468 0.8560
0.5000 0.3103 0.8974
0.5000 0.6897 0.3974
```

Peak list (10 most intense, 2θ = 5–70°, most intense first)
| two_theta | d [Å] | I_rel |
| --- | --- | --- |
| 37.2 | 2.420 | 100 |
| 34.7 | 2.583 | 73 |
| 32.7 | 2.739 | 53 |
| 23.7 | 3.752 | 44 |
| 63.8 | 1.458 | 43 |
| 37.3 | 2.413 | 43 |
| 48.5 | 1.878 | 40 |
| 32.8 | 2.729 | 39 |
| 58.5 | 1.577 | 37 |
| 69.9 | 1.346 | 31 |

Record 5
# Ta4AlSiN2
Computed powder diffractogram, Cu Kα X-rays. Input: a DFT-relaxed cell (PBE, OQMD).
Peak positions follow from Bragg's law for the DFT cell and can differ from measured ones.

Atomic structure:
```
Ta4AlSiN2
1.0
3.0053 0.0000 0.0000
-1.5027 2.6027 0.0000
0.0000 0.0000 13.9487
Ta Al Si N
4 1 1 2
Direct
0.0000 0.0000 0.1457
0.0000 0.0000 0.8543
0.6667 0.3333 0.3404
0.6667 0.3333 0.6596
0.0000 0.0000 0.5000
0.6667 0.3333 0.0000
0.3333 0.6667 0.2429
0.3333 0.6667 0.7571
```

Peak list (10 most intense, 2θ = 5–70°, most intense first)
| two_theta | d [Å] | I_rel |
| --- | --- | --- |
| 39.7 | 2.271 | 100 |
| 35.1 | 2.559 | 32 |
| 12.7 | 6.974 | 29 |
| 25.5 | 3.487 | 26 |
| 34.5 | 2.603 | 23 |
| 61.7 | 1.503 | 21 |
| 58.3 | 1.582 | 19 |
| 38.7 | 2.325 | 17 |
| 43.4 | 2.086 | 15 |
| 52.8 | 1.734 | 14 |

Record 6
# AlZnW4N2
Computed powder diffractogram, Cu Kα X-rays. Input: a DFT-relaxed cell (PBE, OQMD).
Peak positions follow from Bragg's law for the DFT cell and can differ from measured ones.

Atomic structure:
```
AlZnW4N2
1.0
2.8287 0.0000 0.0000
-1.4143 2.4497 0.0000
0.0000 0.0000 14.8914
Al Zn W N
1 1 4 2
Direct
0.0000 0.0000 0.0000
0.3333 0.6667 0.5000
0.0000 0.0000 0.3477
0.0000 0.0000 0.6523
0.3333 0.6667 0.1523
0.3333 0.6667 0.8477
0.6667 0.3333 0.2500
0.6667 0.3333 0.7500
```

Peak list (10 most intense, 2θ = 5–70°, most intense first)
| two_theta | d [Å] | I_rel |
| --- | --- | --- |
| 41.1 | 2.197 | 100 |
| 23.9 | 3.723 | 26 |
| 36.2 | 2.482 | 24 |
| 36.7 | 2.450 | 21 |
| 37.2 | 2.417 | 21 |
| 11.9 | 7.446 | 21 |
| 57.4 | 1.606 | 19 |
| 66.1 | 1.414 | 18 |
| 52.5 | 1.743 | 15 |
| 68.4 | 1.371 | 12 |

Record 7
# Zr3AlN2
Computed powder diffractogram, Cu Kα X-rays. Input: a DFT-relaxed cell (PBE, OQMD).
Peak positions follow from Bragg's law for the DFT cell and can differ from measured ones.

Atomic structure:
```
Zr3AlN2
1.0
3.2380 0.0000 0.0000
-1.6190 2.8042 0.0000
0.0000 0.0000 19.7872
Zr Al N
6 2 4
Direct
0.0000 0.0000 0.0000
0.0000 0.0000 0.5000
0.3333 0.6667 0.1342
0.3333 0.6667 0.3658
0.6667 0.3333 0.6342
0.6667 0.3333 0.8658
0.0000 0.0000 0.2500
0.0000 0.0000 0.7500
0.3333 0.6667 0.5673
0.3333 0.6667 0.9327
0.6667 0.3333 0.0673
0.6667 0.3333 0.4327
```

Peak list (10 most intense, 2θ = 5–70°, most intense first)
| two_theta | d [Å] | I_rel |
| --- | --- | --- |
| 36.8 | 2.440 | 100 |
| 39.4 | 2.288 | 48 |
| 8.9 | 9.894 | 44 |
| 56.9 | 1.619 | 42 |
| 32.2 | 2.776 | 39 |
| 36.3 | 2.473 | 26 |
| 69.4 | 1.355 | 24 |
| 52.9 | 1.730 | 21 |
| 69.7 | 1.349 | 15 |
| 65.7 | 1.421 | 14 |

Record 8
# Na2TaAl2Os2W
Computed powder diffractogram, Cu Kα X-rays. Input: a DFT-relaxed cell (PBE, OQMD).
Peak positions follow from Bragg's law for the DFT cell and can differ from measured ones.

Atomic structure:
```
Na2TaAl2Os2W
1.0
4.4540 0.0000 0.0000
0.0000 4.4540 0.0000
0.0000 0.0000 6.2955
Na Ta Al Os W
2 1 2 2 1
Direct
0.0000 0.5000 0.2495
0.5000 0.0000 0.7505
0.0000 0.0000 0.5000
0.0000 0.0000 0.0000
0.5000 0.5000 0.5000
0.0000 0.5000 0.7585
0.5000 0.0000 0.2415
0.5000 0.5000 0.0000
```

Peak list (5 most intense, 2θ = 5–70°, most intense first)
| two_theta | d [Å] | I_rel |
| --- | --- | --- |
| 40.5 | 2.227 | 100 |
| 24.5 | 3.636 | 70 |
| 47.9 | 1.899 | 36 |
| 58.6 | 1.574 | 17 |
| 64.5 | 1.445 | 15 |

Record 9
# Na4AlSiPt2
Computed powder diffractogram, Cu Kα X-rays. Input: a DFT-relaxed cell (PBE, OQMD).
Peak positions follow from Bragg's law for the DFT cell and can differ from measured ones.

Atomic structure:
```
Na4AlSiPt2
1.0
4.6034 0.0000 0.0000
0.0000 4.6034 0.0000
0.0000 0.0000 6.5108
Na Al Si Pt
4 1 1 2
Direct
0.0000 0.0000 0.0000
0.0000 0.5000 0.7473
0.5000 0.0000 0.2527
0.5000 0.5000 0.5000
0.5000 0.5000 0.0000
0.0000 0.0000 0.5000
0.0000 0.5000 0.2579
0.5000 0.0000 0.7421
```

Peak list (8 most intense, 2θ = 5–70°, most intense first)
| two_theta | d [Å] | I_rel |
| --- | --- | --- |
| 39.1 | 2.302 | 100 |
| 23.7 | 3.759 | 94 |
| 46.2 | 1.963 | 49 |
| 27.4 | 3.255 | 47 |
| 62.1 | 1.494 | 21 |
| 64.0 | 1.456 | 18 |
| 56.5 | 1.628 | 17 |
| 48.4 | 1.879 | 14 |

Record 10
# Na4AlZnPt2
Computed powder diffractogram, Cu Kα X-rays. Input: a DFT-relaxed cell (PBE, OQMD).
Peak positions follow from Bragg's law for the DFT cell and can differ from measured ones.

Atomic structure:
```
Na4AlZnPt2
1.0
4.6724 0.0000 0.0000
0.0000 4.6724 0.0000
0.0000 0.0000 6.6283
Na Al Zn Pt
4 1 1 2
Direct
0.0000 0.0000 0.0000
0.0000 0.5000 0.7394
0.5000 0.0000 0.2606
0.5000 0.5000 0.5000
0.5000 0.5000 0.0000
0.0000 0.0000 0.5000
0.0000 0.5000 0.2290
0.5000 0.0000 0.7710
```

Peak list (10 most intense, 2θ = 5–70°, most intense first)
| two_theta | d [Å] | I_rel |
| --- | --- | --- |
| 38.5 | 2.339 | 100 |
| 23.3 | 3.819 | 83 |
| 27.0 | 3.307 | 30 |
| 45.5 | 1.993 | 29 |
| 69.7 | 1.350 | 22 |
| 61.1 | 1.517 | 17 |
| 45.4 | 1.997 | 12 |
| 55.6 | 1.652 | 12 |
| 69.6 | 1.352 | 10 |
| 47.6 | 1.909 | 8 |

Record 11
# NbAl3
Computed powder diffractogram, Cu Kα X-rays. Input: a DFT-relaxed cell (PBE, OQMD).
Peak positions follow from Bragg's law for the DFT cell and can differ from measured ones.

Atomic structure:
```
NbAl3
1.0
-1.9254 1.9254 4.3174
1.9254 -1.9254 4.3174
1.9254 1.9254 -4.3174
Nb Al
1 3
Direct
0.0000 0.0000 0.0000
0.2500 0.7500 0.5000
0.5000 0.5000 0.0000
0.7500 0.2500 0.5000
```

Peak list (10 most intense, 2θ = 5–70°, most intense first)
| two_theta | d [Å] | I_rel |
| --- | --- | --- |
| 39.1 | 2.303 | 100 |
| 25.3 | 3.517 | 42 |
| 47.2 | 1.925 | 25 |
| 64.9 | 1.437 | 19 |
| 41.8 | 2.159 | 18 |
| 20.6 | 4.317 | 17 |
| 54.3 | 1.690 | 15 |
| 32.9 | 2.723 | 11 |
| 69.0 | 1.361 | 8 |
| 62.9 | 1.478 | 6 |

Record 12
# SrNb2Al2O7
Computed powder diffractogram, Cu Kα X-rays. Input: a DFT-relaxed cell (PBE, OQMD).
Peak positions follow from Bragg's law for the DFT cell and can differ from measured ones.

Atomic structure:
```
SrNb2Al2O7
1.0
2.7156 1.5679 7.7023
-2.7156 1.5679 7.7023
0.0000 -3.1357 7.7023
Sr Nb Al O
1 2 2 7
Direct
0.0000 0.0000 0.0000
0.2337 0.2337 0.2337
0.7663 0.7663 0.7663
0.4270 0.4270 0.4270
0.5730 0.5730 0.5730
0.0820 0.4274 0.6935
0.3065 0.5726 0.9180
0.4274 0.6935 0.0820
0.5000 0.5000 0.5000
0.5726 0.9180 0.3065
0.6935 0.0820 0.4274
0.9180 0.3065 0.5726
```

Peak list (10 most intense, 2θ = 5–70°, most intense first)
| two_theta | d [Å] | I_rel |
| --- | --- | --- |
| 24.4 | 3.647 | 100 |
| 33.0 | 2.716 | 64 |
| 27.0 | 3.296 | 50 |
| 48.8 | 1.866 | 37 |
| 41.5 | 2.178 | 25 |
| 54.0 | 1.699 | 23 |
| 58.9 | 1.568 | 22 |
| 23.1 | 3.851 | 20 |
| 36.5 | 2.461 | 19 |
| 55.4 | 1.659 | 12 |